For Tm2InNi9, a DFT-relaxed cell (PBE, Alexandria) gives the theoretical powder XRD pattern in this record (Cu Kα).

The 10 most intense peaks (5° ≤ 2θ ≤ 70°), sorted by position:
33.48 deg, intensity 52; 36.54 deg, intensity 46; 36.68 deg, intensity 56; 42.78 deg, intensity 40; 43.24 deg, intensity 100; 45.30 deg, intensity 18; 46.59 deg, intensity 22; 46.76 deg, intensity 24; 65.99 deg, intensity 25; 69.93 deg, intensity 15

Crystal structure
Lattice parameters (Å, degrees): 8.530 8.530 8.530 33.39 33.39 33.39
Fractional positions:
Tm: 0.137 0.137 0.137
Tm: 0.863 0.863 0.863
In: 0.000 0.000 0.000
Ni: 0.081 0.584 0.584
Ni: 0.333 0.333 0.333
Ni: 0.416 0.416 0.919
Ni: 0.416 0.919 0.416
Ni: 0.500 0.500 0.500
Ni: 0.584 0.081 0.584
Ni: 0.584 0.584 0.081
Ni: 0.667 0.667 0.667
Ni: 0.919 0.416 0.416